1.
Structure and calculated powder diffraction line list of ErSi3Ni10 (a cell relaxed with PBE; Cu Kα (λ = 1.5418 Å)).
Kinematic intensities with the Lorentz-polarization factor, no thermal factor.

Atomic structure:
Lattice parameters (Å, degrees): 8.0045 8.0045 8.0045 60.00 60.00 60.00
Sites, in units of the cell vectors:
Er 0.2500 0.2500 0.2500
Er 0.7500 0.7500 0.7500
Si 0.2359 0.2359 0.7641
Si 0.2359 0.7641 0.2359
Si 0.2359 0.7641 0.7641
Si 0.7641 0.2359 0.2359
Si 0.7641 0.2359 0.7641
Si 0.7641 0.7641 0.2359
Ni 0.1148 0.1148 0.1148
Ni 0.1148 0.1148 0.6555
Ni 0.1148 0.6555 0.1148
Ni 0.1482 0.5000 0.5000
Ni 0.1482 0.5000 0.8518
Ni 0.1482 0.8518 0.5000
Ni 0.3445 0.8852 0.8852
Ni 0.5000 0.1482 0.5000
Ni 0.5000 0.1482 0.8518
Ni 0.5000 0.5000 0.1482
Ni 0.5000 0.5000 0.8518
Ni 0.5000 0.8518 0.1482
Ni 0.5000 0.8518 0.5000
Ni 0.6555 0.1148 0.1148
Ni 0.8518 0.1482 0.5000
Ni 0.8518 0.5000 0.1482
Ni 0.8518 0.5000 0.5000
Ni 0.8852 0.3445 0.8852
Ni 0.8852 0.8852 0.3445
Ni 0.8852 0.8852 0.8852

Top 8 peaks for 10° ≤ 2θ ≤ 90°, low angle first:
2θ = 15.66°, I = 38
2θ = 35.46°, I = 92
2θ = 38.98°, I = 51
2θ = 41.45°, I = 100
2θ = 45.32°, I = 60
2θ = 47.52°, I = 51
2θ = 53.71°, I = 47
2θ = 70.60°, I = 40

2.
Structure and calculated powder diffraction line list of ErSi3Ni3 (a cell relaxed with PBE; Cu Kα (λ = 1.5418 Å)).
Kinematic intensities with the Lorentz-polarization factor, no thermal factor.

Atomic structure:
Lattice parameters (Å, degrees): 6.1886 6.1886 6.1886 90.00 90.00 90.00
Sites, in units of the cell vectors:
Er 0.0000 0.0000 0.0000
Er 0.5000 0.5000 0.5000
Si 0.0000 0.2500 0.5000
Si 0.0000 0.7500 0.5000
Si 0.2500 0.5000 0.0000
Si 0.5000 0.0000 0.2500
Si 0.5000 0.0000 0.7500
Si 0.7500 0.5000 0.0000
Ni 0.0000 0.5000 0.2500
Ni 0.0000 0.5000 0.7500
Ni 0.2500 0.0000 0.5000
Ni 0.5000 0.2500 0.0000
Ni 0.5000 0.7500 0.0000
Ni 0.7500 0.0000 0.5000

Top 8 peaks for 10° ≤ 2θ ≤ 90°, low angle first:
2θ = 20.29°, I = 14
2θ = 28.85°, I = 44
2θ = 35.53°, I = 100
2θ = 55.56°, I = 54
2θ = 59.77°, I = 16
2θ = 67.71°, I = 15
2θ = 71.51°, I = 13
2θ = 86.05°, I = 16

3.
Structure and calculated powder diffraction line list of Er3Si2Ni3 (a cell relaxed with PBE; Cu Kα (λ = 1.5418 Å)).
Kinematic intensities with the Lorentz-polarization factor, no thermal factor.

Atomic structure:
Lattice parameters (Å, degrees): 7.2257 14.2975 5.4840 90.00 90.00 90.00
Sites, in units of the cell vectors:
Er 0.0267 0.1081 0.1440
Er 0.0267 0.3919 0.1440
Er 0.1630 0.2500 0.6182
Er 0.3370 0.7500 0.1182
Er 0.4733 0.6081 0.6440
Er 0.4733 0.8919 0.6440
Er 0.5267 0.1081 0.3560
Er 0.5267 0.3919 0.3560
Er 0.6630 0.2500 0.8818
Er 0.8370 0.7500 0.3818
Er 0.9733 0.6081 0.8560
Er 0.9733 0.8919 0.8560
Si 0.1280 0.6002 0.3581
Si 0.1280 0.8998 0.3581
Si 0.3720 0.1002 0.8581
Si 0.3720 0.3998 0.8581
Si 0.6280 0.6002 0.1419
Si 0.6280 0.8998 0.1419
Si 0.8720 0.1002 0.6419
Si 0.8720 0.3998 0.6419
Ni 0.1657 0.0355 0.5930
Ni 0.1657 0.4645 0.5930
Ni 0.1872 0.7500 0.5859
Ni 0.3128 0.2500 0.0859
Ni 0.3343 0.5355 0.0930
Ni 0.3343 0.9645 0.0930
Ni 0.6657 0.0355 0.9070
Ni 0.6657 0.4645 0.9070
Ni 0.6872 0.7500 0.9141
Ni 0.8128 0.2500 0.4141
Ni 0.8343 0.5355 0.4070
Ni 0.8343 0.9645 0.4070

Top 8 peaks for 10° ≤ 2θ ≤ 90°, low angle first:
2θ = 24.75°, I = 50
2θ = 30.28°, I = 45
2θ = 32.36°, I = 84
2θ = 35.34°, I = 100
2θ = 35.58°, I = 73
2θ = 39.07°, I = 48
2θ = 39.93°, I = 51
2θ = 40.92°, I = 66

4.
Structure and calculated powder diffraction line list of Er4SiNi3 (a cell relaxed with PBE; Cu Kα (λ = 1.5418 Å)).
Kinematic intensities with the Lorentz-polarization factor, no thermal factor.

Atomic structure:
Lattice parameters (Å, degrees): 3.9275 4.0003 10.2503 90.00 90.00 90.00
Sites, in units of the cell vectors:
Er 0.0000 0.0000 0.0000
Er 0.0000 0.5000 0.2787
Er 0.5000 0.0000 0.4926
Er 0.5000 0.5000 0.7805
Si 0.0000 0.0000 0.7046
Ni 0.0000 0.5000 0.5678
Ni 0.5000 0.0000 0.2065
Ni 0.5000 0.5000 0.0667

Top 8 peaks for 10° ≤ 2θ ≤ 90°, low angle first:
2θ = 28.30°, I = 45
2θ = 33.14°, I = 100
2θ = 34.80°, I = 49
2θ = 35.02°, I = 24
2θ = 41.68°, I = 38
2θ = 45.34°, I = 22
2θ = 46.23°, I = 21
2θ = 58.40°, I = 22

5.
Structure and calculated powder diffraction line list of Er2Si3Ni2 (a cell relaxed with PBE; Cu Kα (λ = 1.5418 Å)).
Kinematic intensities with the Lorentz-polarization factor, no thermal factor.

Atomic structure:
Lattice parameters (Å, degrees): 9.9060 3.9747 6.3155 90.00 116.05 90.00
Sites, in units of the cell vectors:
Er 0.1493 0.0000 0.2802
Er 0.3507 0.5000 0.7198
Er 0.6493 0.5000 0.2802
Er 0.8507 0.0000 0.7198
Si 0.0000 0.5000 0.5000
Si 0.1122 0.5000 0.9393
Si 0.3878 0.0000 0.0607
Si 0.5000 0.0000 0.5000
Si 0.6122 0.0000 0.9393
Si 0.8878 0.5000 0.0607
Ni 0.1380 0.0000 0.7454
Ni 0.3620 0.5000 0.2546
Ni 0.6380 0.5000 0.7454
Ni 0.8620 0.0000 0.2546

Top 8 peaks for 10° ≤ 2θ ≤ 90°, low angle first:
2θ = 24.53°, I = 67
2θ = 31.54°, I = 100
2θ = 36.54°, I = 88
2θ = 37.84°, I = 93
2θ = 38.96°, I = 42
2θ = 40.00°, I = 68
2θ = 40.55°, I = 37
2θ = 45.65°, I = 45

6.
Structure and calculated powder diffraction line list of ErThSi2Ni2 (a cell relaxed with PBE; Cu Kα (λ = 1.5418 Å)).
Kinematic intensities with the Lorentz-polarization factor, no thermal factor.

Atomic structure:
Lattice parameters (Å, degrees): 4.0413 4.0413 7.8904 90.00 90.00 120.00
Sites, in units of the cell vectors:
Er 0.0000 0.0000 0.0000
Th 0.0000 0.0000 0.5000
Si 0.3333 0.6667 0.7597
Si 0.6667 0.3333 0.2403
Ni 0.3333 0.6667 0.2390
Ni 0.6667 0.3333 0.7610

Top 8 peaks for 10° ≤ 2θ ≤ 90°, low angle first:
2θ = 25.45°, I = 39
2θ = 34.25°, I = 100
2θ = 44.86°, I = 34
2θ = 46.01°, I = 10
2θ = 53.31°, I = 11
2θ = 57.62°, I = 23
2θ = 66.21°, I = 20
2θ = 75.86°, I = 20